Theoretical XRD peak list of Li8Mn13Fe3O32 for Cu Kα X-rays, from a cell relaxed with PBE+U.
No peak broadening, texture or thermal motion is included.

Atomic structure:
```
data_Li8Mn13Fe3O32
_cell_length_a 8.3248
_cell_length_b 8.6119
_cell_length_c 10.0839
_cell_angle_alpha 65.33
_cell_angle_beta 65.74
_cell_angle_gamma 89.27
_symmetry_space_group_name_H-M 'P 1'
_symmetry_Int_Tables_number 1
loop_
_symmetry_equiv_pos_as_xyz
'x,y,z'
loop_
_atom_site_label
_atom_site_fract_x
_atom_site_fract_y
_atom_site_fract_z
Li1 0.0639 0.3017 0.1267
Li2 0.1872 0.4505 0.3746
Li3 0.3113 0.0519 0.6255
Li4 0.4335 0.1976 0.8766
Li5 0.5665 0.8024 0.1234
Li6 0.6887 0.9481 0.3745
Li7 0.8128 0.5495 0.6254
Li8 0.9361 0.6983 0.8733
Mn1 0.0000 0.0000 0.0000
Mn2 0.0000 0.0000 0.5000
Mn3 0.1260 0.8696 0.2498
Mn4 0.1293 0.3733 0.7512
Mn5 0.2521 0.7452 0.4981
Mn6 0.3739 0.1240 0.2491
Mn7 0.3780 0.6251 0.7474
Mn8 0.5000 0.5000 0.0000
Mn9 0.6220 0.3749 0.2526
Mn10 0.6261 0.8760 0.7509
Mn11 0.7479 0.2548 0.5019
Mn12 0.8707 0.6267 0.2488
Mn13 0.8740 0.1304 0.7502
Fe1 0.2493 0.7494 0.9979
Fe2 0.5000 0.5000 0.5000
Fe3 0.7507 0.2506 0.0021
O1 0.0094 0.2319 0.9858
O2 0.0256 0.7528 0.4850
O3 0.0988 0.1127 0.7644
O4 0.1154 0.6519 0.2353
O5 0.1311 0.0914 0.2624
O6 0.1528 0.6377 0.7334
O7 0.2295 0.9776 0.0102
O8 0.2454 0.9795 0.4868
O9 0.2586 0.5134 0.5129
O10 0.2716 0.5213 0.9869
O11 0.3515 0.8599 0.2627
O12 0.3707 0.4048 0.7376
O13 0.3857 0.8468 0.7596
O14 0.3987 0.3876 0.2359
O15 0.4820 0.7288 0.5104
O16 0.4926 0.2675 0.0156
O17 0.5074 0.7325 0.9844
O18 0.5180 0.2712 0.4896
O19 0.6013 0.6124 0.7641
O20 0.6143 0.1532 0.2404
O21 0.6293 0.5952 0.2624
O22 0.6485 0.1401 0.7373
O23 0.7284 0.4787 0.0131
O24 0.7414 0.4866 0.4871
O25 0.7546 0.0205 0.5132
O26 0.7705 0.0224 0.9898
O27 0.8472 0.3623 0.2666
O28 0.8689 0.9086 0.7376
O29 0.8846 0.3481 0.7647
O30 0.9012 0.8873 0.2356
O31 0.9744 0.2472 0.5150
O32 0.9906 0.7681 0.0142
```

Most intense lines, 5 to 70 degrees two-theta, low angle first:
| Position (°2θ) | d/Å | Rel. int. |
| --- | --- | --- |
| 18.11 | 4.899 | 67 |
| 18.41 | 4.820 | 100 |
| 18.48 | 4.800 | 57 |
| 41.97 | 2.152 | 43 |
| 43.49 | 2.081 | 40 |
| 44.18 | 2.050 | 38 |